# 1
# Nd15HoTm4
Computed XRD peak list, CuKα. Input: a DFT-relaxed cell (PBE, Alexandria).

Structural model:
```
data_Nd15HoTm4
_symmetry_space_group_name_H-M 'P 4/m m m'
_symmetry_Int_Tables_number 123
_symmetry_space_group_name_Hall '-P 4 2'
_cell_length_a 5.145
_cell_length_b 5.145
_cell_length_c 25.602
_cell_angle_alpha 90.00
_cell_angle_beta 90.00
_cell_angle_gamma 90.00
loop_
_atom_site_label
_atom_site_type_symbol
_atom_site_fract_x
_atom_site_fract_y
_atom_site_fract_z
Nd1 Nd 0.000 0.000 0.000
Nd2 Nd 0.000 0.000 0.200
Nd3 Nd 0.000 0.000 0.400
Nd4 Nd 0.000 0.500 0.100
Nd5 Nd 0.000 0.500 0.300
Nd6 Nd 0.000 0.500 0.500
Ho1 Ho 0.500 0.500 0.000
Tm1 Tm 0.500 0.500 0.200
Tm2 Tm 0.500 0.500 0.400
```

Top 8 peaks for 15° ≤ 2θ ≤ 90°, in order of rising 2θ:
| 2θ/deg | d_spacing | Rel. int. |
| --- | --- | --- |
| 30.1 | 2.966 | 100 |
| 34.9 | 2.572 | 34 |
| 35.0 | 2.560 | 17 |
| 50.2 | 1.819 | 12 |
| 50.3 | 1.815 | 24 |
| 59.6 | 1.551 | 29 |
| 59.9 | 1.545 | 14 |
| 62.7 | 1.483 | 12 |



# 2
# Nd11Ho4Tm9
Computed XRD peak list, CuKα. Input: a DFT-relaxed cell (PBE, Alexandria).

Structural model:
```
data_Nd11Ho4Tm9
_symmetry_space_group_name_H-M 'C m m m'
_symmetry_Int_Tables_number 65
_symmetry_space_group_name_Hall '-C 2 2'
_cell_length_a 16.881
_cell_length_b 25.611
_cell_length_c 3.649
_cell_angle_alpha 90.00
_cell_angle_beta 90.00
_cell_angle_gamma 90.00
loop_
_atom_site_label
_atom_site_type_symbol
_atom_site_fract_x
_atom_site_fract_y
_atom_site_fract_z
Nd1 Nd 0.000 0.000 0.000
Nd2 Nd 0.000 0.160 0.000
Nd3 Nd 0.000 0.368 0.000
Nd4 Nd 0.208 0.500 0.000
Nd5 Nd 0.224 0.181 0.000
Ho1 Ho 0.157 0.398 0.500
Tm1 Tm 0.000 0.500 0.500
Tm2 Tm 0.102 0.268 0.500
Tm3 Tm 0.141 0.073 0.500
```

Top 8 peaks for 15° ≤ 2θ ≤ 90°, in order of rising 2θ:
| 2θ/deg | d_spacing | Rel. int. |
| --- | --- | --- |
| 29.8 | 3.000 | 100 |
| 30.1 | 2.968 | 30 |
| 31.0 | 2.882 | 31 |
| 31.9 | 2.806 | 27 |
| 32.3 | 2.774 | 83 |
| 32.4 | 2.760 | 84 |
| 50.0 | 1.824 | 23 |
| 59.3 | 1.559 | 29 |



# 3
# Nd2HoTm5
Computed XRD peak list, CuKα. Input: a DFT-relaxed cell (PBE, Alexandria).

Structural model:
```
data_Nd2HoTm5
_symmetry_space_group_name_H-M 'C 1 2/c 1'
_symmetry_Int_Tables_number 15
_symmetry_space_group_name_Hall '-C 2yc'
_cell_length_a 16.079
_cell_length_b 9.801
_cell_length_c 6.513
_cell_angle_alpha 90.00
_cell_angle_beta 99.30
_cell_angle_gamma 90.00
loop_
_atom_site_label
_atom_site_type_symbol
_atom_site_fract_x
_atom_site_fract_y
_atom_site_fract_z
Nd1 Nd 0.079 0.244 0.119
Ho1 Ho 0.250 0.250 0.000
Tm1 Tm 0.000 0.441 0.750
Tm2 Tm 0.101 0.090 0.648
Tm3 Tm 0.198 0.413 0.527
```

Top 8 peaks for 15° ≤ 2θ ≤ 90°, in order of rising 2θ:
| 2θ/deg | d_spacing | Rel. int. |
| --- | --- | --- |
| 29.6 | 3.019 | 28 |
| 30.5 | 2.927 | 23 |
| 31.5 | 2.840 | 23 |
| 31.7 | 2.827 | 100 |
| 43.2 | 2.095 | 9 |
| 44.5 | 2.034 | 10 |
| 56.3 | 1.634 | 9 |
| 56.4 | 1.631 | 10 |



> What is the formula in the first record?

Nd15HoTm4